Starting from the PBE+U geometry in Alexandria, the powder diffraction line list of KPrFe4O12 was computed for Cu Ka.

The 12 most intense peaks (15° ≤ 2θ ≤ 90°), most intense first:
2θ (°), I/Imax, hkl
32.96, 100, 2 0 0
20.01, 64, 1 0 1
47.36, 34, 2 2 0
58.89, 25, 3 1 2
38.89, 22, 2 1 1
69.08, 18, 2 2 4
16.33, 17, 1 0 0
47.19, 17, 0 0 4
23.14, 16, 1 1 0
51.84, 14, 2 1 3
58.78, 13, 2 0 4
25.93, 11, 1 1 1

Structural model:
Cell: 5.4291 5.4291 7.7046 Å, 90.00 90.00 90.00°
Positions (direct):
K1 0.0000 0.0000 0.0000
Pr1 0.5000 0.5000 0.5000
Fe1 0.0000 0.5000 0.2455
Fe2 0.0000 0.5000 0.7545
Fe3 0.5000 0.0000 0.2455
Fe4 0.5000 0.0000 0.7545
O1 0.0000 0.5000 0.0000
O2 0.0000 0.5000 0.5000
O3 0.2593 0.2593 0.2634
O4 0.2593 0.2593 0.7366
O5 0.2593 0.7407 0.2634
O6 0.2593 0.7407 0.7366
O7 0.5000 0.0000 0.0000
O8 0.5000 0.0000 0.5000
O9 0.7407 0.2593 0.2634
O10 0.7407 0.2593 0.7366
O11 0.7407 0.7407 0.2634
O12 0.7407 0.7407 0.7366